# 1
Computed powder XRD pattern of Cs2In2Bi2Au for Cu Kα (weighted mean of Kα1 and Kα2), from the GGA-PBE geometry in Alexandria.
Lines closer than 0.1° are merged.

Structure:
Unit cell a=15.552 b=4.929 c=9.539 alpha=90.00 beta=127.13 gamma=90.00
Space group C2/m (No. 12)
Asymmetric unit:
Cs: 0.064 0.000 0.316 (multiplicity 4)
In: 0.200 0.500 0.078 (multiplicity 4)
Bi: 0.167 0.500 0.725 (multiplicity 4)
Au: 0.000 0.500 0.000 (multiplicity 2)

Largest 6 diffraction maxima, sorted by position, 5° ≤ 2θ ≤ 70°:
23.56 deg, intensity 79; 24.83 deg, intensity 100; 26.93 deg, intensity 62; 27.05 deg, intensity 67; 36.47 deg, intensity 86; 40.72 deg, intensity 60

# 2
Computed powder XRD pattern of CsC for Cu Kα (weighted mean of Kα1 and Kα2), from the GGA-PBE geometry in Alexandria.
Lines closer than 0.1° are merged.

Structure:
Unit cell a=5.5560 b=5.5560 c=16.2514 alpha=90.00 beta=90.00 gamma=120.00
Space group R-3m (No. 166, hexagonal axes)
Asymmetric unit:
Cs: 0.0000 0.0000 0.2486 (multiplicity 6)
C: 0.0000 0.0000 0.0391 (multiplicity 6)

Largest 6 diffraction maxima, sorted by position, 5° ≤ 2θ ≤ 70°:
21.46 deg, intensity 100; 28.76 deg, intensity 63; 32.22 deg, intensity 50; 39.05 deg, intensity 22; 46.85 deg, intensity 29; 51.49 deg, intensity 20

# 3
Computed powder XRD pattern of BaCdPb2F8 for Cu Kα (weighted mean of Kα1 and Kα2), from the GGA-PBE geometry in Alexandria.
Lines closer than 0.1° are merged.

Structure:
Unit cell a=4.250 b=8.332 c=5.918 alpha=90.00 beta=90.08 gamma=90.00
Space group P2/m (No. 10)
Asymmetric unit:
Ba: 0.000 0.000 0.000 (multiplicity 1)
Cd: 0.000 0.500 0.000 (multiplicity 1)
Pb: 0.500 0.266 0.500 (multiplicity 2)
F: 0.001 0.277 0.755 (multiplicity 4)
F: 0.499 0.500 0.231 (multiplicity 2)
F: 0.500 0.000 0.263 (multiplicity 2)

Largest 6 diffraction maxima, sorted by position, 5° ≤ 2θ ≤ 70°:
25.81 deg, intensity 100; 26.16 deg, intensity 94; 30.04 deg, intensity 38; 43.12 deg, intensity 75; 50.63 deg, intensity 31; 51.23 deg, intensity 43

# 4
Computed powder XRD pattern of RbCe2Dy2O7 for Cu Kα (weighted mean of Kα1 and Kα2), from the GGA-PBE geometry in Alexandria.
Lines closer than 0.1° are merged.

Structure:
Unit cell a=4.606 b=19.695 c=4.606 alpha=90.00 beta=90.00 gamma=90.00
Space group Imm2 (No. 44)
Asymmetric unit:
Rb: 0.000 0.000 0.000 (multiplicity 2)
Ce: 0.000 0.389 0.000 (multiplicity 4)
Dy: 0.000 0.250 0.500 (multiplicity 4)
O: 0.000 0.135 0.500 (multiplicity 4)
O: 0.000 0.263 0.000 (multiplicity 4)
O: 0.000 0.365 0.500 (multiplicity 4)
O: 0.000 0.500 0.999 (multiplicity 2)

Largest 6 diffraction maxima, sorted by position, 5° ≤ 2θ ≤ 70°:
8.98 deg, intensity 79; 28.87 deg, intensity 100; 29.85 deg, intensity 46; 32.97 deg, intensity 51; 39.11 deg, intensity 71; 54.56 deg, intensity 42

# 5
Computed powder XRD pattern of KHo2Hg3 for Cu Kα (weighted mean of Kα1 and Kα2), from the GGA-PBE geometry in Alexandria.
Lines closer than 0.1° are merged.

Structure:
Unit cell a=3.729 b=3.729 c=12.206 alpha=90.00 beta=90.00 gamma=90.00
Space group P4/mmm (No. 123)
Asymmetric unit:
K: 0.000 0.000 0.000 (multiplicity 1)
Ho: 0.000 0.000 0.347 (multiplicity 2)
Hg: 0.500 0.500 0.209 (multiplicity 2)
Hg: 0.500 0.500 0.500 (multiplicity 1)

Largest 6 diffraction maxima, sorted by position, 5° ≤ 2θ ≤ 70°:
7.24 deg, intensity 61; 32.57 deg, intensity 100; 34.00 deg, intensity 60; 38.11 deg, intensity 36; 48.85 deg, intensity 22; 59.95 deg, intensity 35

# 6
Computed powder XRD pattern of Y6Pb2N for Cu Kα (weighted mean of Kα1 and Kα2), from the GGA-PBE geometry in Alexandria.
Lines closer than 0.1° are merged.

Structure:
Unit cell a=6.480 b=7.974 c=11.496 alpha=90.00 beta=122.61 gamma=90.00
Space group P2_1/c (No. 14)
Asymmetric unit:
Y: 0.135 0.156 0.457 (multiplicity 4)
Y: 0.310 0.720 0.454 (multiplicity 4)
Y: 0.358 0.027 0.253 (multiplicity 4)
Pb: 0.190 0.104 0.763 (multiplicity 4)
N: 0.500 0.000 0.500 (multiplicity 2)

Largest 6 diffraction maxima, sorted by position, 5° ≤ 2θ ≤ 70°:
29.01 deg, intensity 100; 31.45 deg, intensity 100; 32.44 deg, intensity 72; 35.79 deg, intensity 65; 37.14 deg, intensity 72; 37.64 deg, intensity 82

# 7
Computed powder XRD pattern of TbYLuZn for Cu Kα (weighted mean of Kα1 and Kα2), from the GGA-PBE geometry in Alexandria.
Lines closer than 0.1° are merged.

Structure:
Unit cell a=7.506 b=7.506 c=7.506 alpha=90.00 beta=90.00 gamma=90.00
Space group F-43m (No. 216)
Asymmetric unit:
Tb: 0.000 0.000 0.000 (multiplicity 4)
Y: 0.000 0.000 0.500 (multiplicity 4)
Lu: 0.250 0.250 0.250 (multiplicity 4)
Zn: 0.250 0.250 0.750 (multiplicity 4)

Largest 6 diffraction maxima, sorted by position, 5° ≤ 2θ ≤ 70°:
20.49 deg, intensity 14; 33.77 deg, intensity 100; 39.83 deg, intensity 8; 48.51 deg, intensity 18; 53.19 deg, intensity 4; 60.41 deg, intensity 37

# 8
Computed powder XRD pattern of Zr4TlIn2 for Cu Kα (weighted mean of Kα1 and Kα2), from the GGA-PBE geometry in Alexandria.
Lines closer than 0.1° are merged.

Structure:
Unit cell a=5.801 b=10.758 c=6.231 alpha=90.00 beta=122.09 gamma=90.00
Space group P2_1/c (No. 14)
Asymmetric unit:
Zr: 0.027 0.203 0.370 (multiplicity 4)
Zr: 0.390 0.605 0.041 (multiplicity 4)
Tl: 0.000 0.000 0.000 (multiplicity 2)
In: 0.460 0.125 0.885 (multiplicity 4)

Largest 6 diffraction maxima, sorted by position, 5° ≤ 2θ ≤ 70°:
30.17 deg, intensity 88; 32.05 deg, intensity 44; 35.03 deg, intensity 76; 35.22 deg, intensity 60; 36.57 deg, intensity 48; 38.15 deg, intensity 100